Entry 1:
Theoretical powder diffraction line list
Compound: TaNi4H4
Radiation: Cu Kα, 1.54184 Å
Structure: a DFT-relaxed cell (GGA-PBE, Alexandria)
Neutral-atom scattering factors, no anomalous dispersion.

Structural model:
```
TaNi4H4
1.0
4.0048 -3.5111 0.0000
4.0048 3.5111 0.0000
0.0000 0.0000 5.1406
Ta Ni H
2 8 8
Cartesian
4.0048 2.4176 3.8555
4.0048 -2.4176 1.2852
2.7975 2.1453 1.2852
2.7522 0.0000 0.0000
2.7522 0.0000 2.5703
5.2120 2.1453 1.2852
2.7975 -2.1453 3.8555
5.2574 0.0000 0.0000
5.2574 0.0000 2.5703
5.2120 -2.1453 3.8555
1.9352 0.6375 1.2852
1.9352 -0.6375 3.8555
4.0048 1.1574 0.2614
4.0048 1.1574 2.3089
4.0048 -1.1574 2.8317
4.0048 -1.1574 4.8792
6.0743 0.6375 1.2852
6.0743 -0.6375 3.8555
```

Peak list (8 most intense, 15 to 90 degrees two-theta, by angle)
2θ/deg  Rel. int.
24.2  174
36.0  193
38.3  350
39.0  366
40.2  1000
43.6  289
55.8  176
66.2  132

Entry 2:
Theoretical powder diffraction line list
Compound: Pu5SnPd4
Radiation: Cu Kα, 1.54184 Å
Structure: a DFT-relaxed cell (GGA-PBE, Alexandria)
Neutral-atom scattering factors, no anomalous dispersion.

Structural model:
```
Pu5SnPd4
1.0
7.7859 -2.2478 0.0000
7.7859 2.2478 0.0000
-2.7520 0.0000 6.3996
Pu Sn Pd
5 1 4
Cartesian
0.0000 0.0000 0.0000
2.7187 0.0000 5.4476
4.3913 0.0000 1.6610
8.4284 0.0000 4.7385
10.1010 0.0000 0.9520
-1.3760 0.0000 3.1998
1.4875 0.0000 2.7568
5.4105 0.0000 4.4950
7.4092 0.0000 1.9046
11.3322 0.0000 3.6428
```

Peak list (8 most intense, 15 to 90 degrees two-theta, by angle)
2θ/deg  Rel. int.
27.0  272
27.3  790
34.0  301
37.0  1000
37.7  555
38.5  995
40.1  562
56.2  357

Entry 3:
Theoretical powder diffraction line list
Compound: SrCeIn
Radiation: Cu Kα, 1.54184 Å
Structure: a DFT-relaxed cell (GGA-PBE, Alexandria)
Neutral-atom scattering factors, no anomalous dispersion.

Structural model:
```
SrCeIn
1.0
3.8762 0.0000 0.0000
0.0005 4.0094 0.0000
0.4343 0.0087 12.9095
Sr Ce In
2 2 2
Cartesian
0.9588 1.0063 1.7205
3.3522 3.0118 11.1891
0.8484 1.0068 5.7418
3.4626 3.0113 7.1677
1.4760 1.0069 9.0362
2.8350 3.0112 3.8733
```

Peak list (8 most intense, 15 to 90 degrees two-theta, by angle)
2θ/deg  Rel. int.
30.5  1000
32.1  881
33.1  194
35.7  409
35.7  228
36.8  188
45.2  195
59.4  188